Diffraction record for EuHoIrPd. The powder X-ray diffraction pattern is computed, not measured: it uses a cell relaxed with GGA-PBE and λ = 1.5418 Å (Cu Kα).

```
EuHoIrPd
1.0
0.0000 3.4958 3.4958
3.4958 0.0000 3.4958
3.4958 3.4958 0.0000
Eu Ho Ir Pd
1 1 1 1
Direct
0.0000 0.0000 0.0000 Eu
0.5000 0.5000 0.5000 Ho
0.7500 0.7500 0.7500 Ir
0.2500 0.2500 0.2500 Pd
```

Top 6 peaks for 15° ≤ 2θ ≤ 90°, by intensity:
36.34°, I = 100; 65.39°, I = 36; 52.34°, I = 18; 88.43°, I = 17; 77.18°, I = 11; 22.02°, I = 4